Record 1
Computed powder diffractogram of Nd2SmDy2Tl for CuKα, from a GGA-PBE-relaxed structure.
Peak positions follow from Bragg's law for the DFT cell and can differ from measured ones.

Top 10 peaks for 15 to 90 degrees two-theta, in order of rising 2θ:
Position (°2θ)  I_rel
28.41  23.3
30.60  100.0
31.01  65.1
32.32  40.4
32.45  77.2
33.54  28.5
35.97  19.7
45.40  31.8
54.91  19.5
56.07  24.5

Structural model:
Cell lengths 6.6070, 10.1641, 5.7680 Å; angles 90.00, 90.00, 90.00 degrees
Space group Pnnm (No. 58)
Unique sites:
1 Nd 0.1888 0.1331 0.0000 x4
2 Sm 0.0000 0.5000 0.0000 x2
3 Dy 0.1891 0.2958 0.5000 x4
4 Tl 0.0000 0.0000 0.5000 x2

---

Record 2
Computed powder diffractogram of Dy6ScAg5 for CuKα, from a GGA-PBE-relaxed structure.
Peak positions follow from Bragg's law for the DFT cell and can differ from measured ones.

Top 10 peaks for 15 to 90 degrees two-theta, in order of rising 2θ:
Position (°2θ)  I_rel
34.26  24.5
34.63  100.0
34.76  25.4
49.60  17.0
49.96  8.7
61.59  15.9
61.98  8.4
62.25  26.7
73.06  10.2
83.71  7.4

Structural model:
Cell lengths 5.1624, 7.3026, 15.7031 Å; angles 90.00, 90.00, 90.00 degrees
Space group Immm (No. 71)
Unique sites:
1 Dy 0.0000 0.2364 0.0000 x4
2 Dy 0.0000 0.2517 0.3290 x8
3 Sc 0.0000 0.0000 0.5000 x2
4 Ag 0.0000 0.0000 0.1677 x4
5 Ag 0.0000 0.5000 0.1490 x4
6 Ag 0.0000 0.5000 0.5000 x2

---

Record 3
Computed powder diffractogram of Cs4Ac3SnS8 for CuKα, from a GGA-PBE-relaxed structure.
Peak positions follow from Bragg's law for the DFT cell and can differ from measured ones.

Top 10 peaks for 15 to 90 degrees two-theta, in order of rising 2θ:
Position (°2θ)  I_rel
21.88  29.6
24.46  60.2
27.60  100.0
37.80  38.0
41.00  35.3
44.10  17.9
46.95  25.2
50.14  18.9
62.19  15.1
66.70  16.1

Structural model:
Cell lengths 8.8044, 8.8044, 24.3731 Å; angles 90.00, 90.00, 120.00 degrees
Space group R-3m (No. 166, hexagonal axes)
Unique sites:
1 Cs 0.0000 0.0000 0.0000 x3
2 Cs 0.0000 0.5000 0.0000 x9
3 Ac 0.0000 0.5000 0.5000 x9
4 Sn 0.0000 0.0000 0.5000 x3
5 S 0.0000 0.0000 0.2316 x6
6 S 0.0146 0.5073 0.2294 x18

---

Record 4
Computed powder diffractogram of CaAc15Dy4 for CuKα, from a GGA-PBE-relaxed structure.
Peak positions follow from Bragg's law for the DFT cell and can differ from measured ones.

Top 10 peaks for 15 to 90 degrees two-theta, in order of rising 2θ:
Position (°2θ)  I_rel
28.04  100.0
32.45  34.6
32.57  16.9
46.61  38.3
55.22  31.4
55.38  15.1
57.96  13.4
75.04  6.5
75.17  12.4
86.44  9.1

Structural model:
Cell lengths 5.5184, 5.5184, 27.4944 Å; angles 90.00, 90.00, 90.00 degrees
Space group P4/mmm (No. 123)
Unique sites:
1 Ca 0.0000 0.0000 0.0000 x1
2 Ac 0.0000 0.5000 0.1037 x4
3 Ac 0.0000 0.5000 0.3014 x4
4 Ac 0.0000 0.5000 0.5000 x2
5 Ac 0.5000 0.5000 0.0000 x1
6 Ac 0.5000 0.5000 0.2020 x2
7 Ac 0.5000 0.5000 0.4004 x2
8 Dy 0.0000 0.0000 0.2014 x2
9 Dy 0.0000 0.0000 0.4008 x2

---

Record 5
Computed powder diffractogram of MgZn6Ag for CuKα, from a GGA-PBE-relaxed structure.
Peak positions follow from Bragg's law for the DFT cell and can differ from measured ones.

Top 10 peaks for 15 to 90 degrees two-theta, in order of rising 2θ:
Position (°2θ)  I_rel
17.41  16.5
35.24  30.6
39.56  100.0
43.52  66.7
63.24  7.4
66.15  20.2
68.99  31.3
74.52  12.6
85.20  8.7
87.83  18.1

Structural model:
Cell lengths 5.0936, 5.0936, 5.0936 Å; angles 90.00, 90.00, 90.00 degrees
Space group Pm-3 (No. 200)
Unique sites:
1 Mg 0.0000 0.0000 0.0000 x1
2 Zn 0.0000 0.2500 0.5000 x6
3 Ag 0.5000 0.5000 0.5000 x1

---

Record 6
Computed powder diffractogram of W9C4 for CuKα, from a GGA-PBE-relaxed structure.
Peak positions follow from Bragg's law for the DFT cell and can differ from measured ones.

Top 10 peaks for 15 to 90 degrees two-theta, in order of rising 2θ:
Position (°2θ)  I_rel
34.39  21.5
37.64  23.9
39.36  100.0
51.89  16.4
61.59  18.7
69.08  19.3
74.48  20.0
75.58  14.9
80.35  3.0
84.67  4.0

Structural model:
Cell lengths 9.0346, 9.0346, 14.3399 Å; angles 90.00, 90.00, 120.00 degrees
Space group R32 (No. 155, hexagonal axes)
Unique sites:
1 W 0.1058 0.8922 0.2500 x18
2 W 0.1091 0.2210 0.9151 x18
3 W 0.1097 0.8881 0.5855 x18
4 C 0.0000 0.0000 0.0000 x3
5 C 0.0000 0.0000 0.5000 x3
6 C 0.0000 0.3345 0.0000 x9
7 C 0.0000 0.6676 0.5000 x9